Computed powder X-ray diffraction pattern
Compound: LiFe2OsO6
Radiation: Cu Kα (λ = 1.5418 Å)
Structure: DFT lattice parameters and positions (GGA+U)
Kinematic intensities with the Lorentz-polarization factor, no thermal factor.

Top 12 peaks for 2θ from 15° to 90°, most intense first:
two_theta, Rel. int.
20.61, 1000
32.71, 872
20.13, 386
40.67, 309
51.99, 296
36.40, 219
50.68, 195
60.87, 167
34.65, 161
62.40, 157
41.42, 115
35.81, 110

Crystal structure
```
data_LiFe2OsO6
_symmetry_space_group_name_H-M 'P n n m'
_symmetry_Int_Tables_number 58
_cell_length_a 5.015
_cell_length_b 5.178
_cell_length_c 8.423
_cell_angle_alpha 90.00
_cell_angle_beta 90.00
_cell_angle_gamma 90.00
loop_
_symmetry_equiv_pos_as_xyz
'x,y,z'
'-x,-y,-z'
'-x,-y,z'
'x,y,-z'
'x+1/2,-y+1/2,-z+1/2'
'-x+1/2,y+1/2,z+1/2'
'-x+1/2,y+1/2,-z+1/2'
'x+1/2,-y+1/2,z+1/2'
loop_
_atom_site_label
_atom_site_fract_x
_atom_site_fract_y
_atom_site_fract_z
Li1 0.000 0.000 0.000
Fe1 0.000 0.500 0.300
Os1 0.000 0.000 0.500
O1 0.185 0.329 0.500
O2 0.228 0.834 0.336
```